1.
For AlGaCu2As2O10, a GGA-PBE-relaxed structure gives the calculated X-ray diffraction stick pattern in this record (CuKα).
Kinematic intensities with the Lorentz-polarization factor, no thermal factor.

Structural model:
a b c (Å): 5.8001 10.3444 7.4824
angles (deg): 90.00 100.77 90.00
Atoms (fractional coordinates):
1 Al 0.1927 0.0000 0.1471
2 Al 0.8073 0.5000 0.8529
3 Ga 0.3088 0.3548 0.8545
4 Ga 0.6912 0.8548 0.1455
5 Cu 0.1621 0.8149 0.4593
6 Cu 0.3374 0.5375 0.5358
7 Cu 0.6626 0.0375 0.4642
8 Cu 0.8379 0.3149 0.5407
9 As 0.1710 0.0639 0.7295
10 As 0.3332 0.2874 0.2756
11 As 0.6668 0.7874 0.7244
12 As 0.8290 0.5639 0.2705
13 O 0.0037 0.4009 0.7605
14 O 0.0983 0.6353 0.3635
15 O 0.1271 0.9704 0.9090
16 O 0.1436 0.1656 0.1912
17 O 0.2131 0.3693 0.4359
18 O 0.2856 0.9805 0.5679
19 O 0.3713 0.1831 0.8076
20 O 0.3794 0.3877 0.1035
21 O 0.3976 0.7164 0.6300
22 O 0.4852 0.9576 0.2415
23 O 0.5148 0.4576 0.7585
24 O 0.6024 0.2164 0.3700
25 O 0.6206 0.8877 0.8965
26 O 0.6287 0.6831 0.1924
27 O 0.7144 0.4805 0.4321
28 O 0.7869 0.8693 0.5641
29 O 0.8564 0.6656 0.8088
30 O 0.8729 0.4704 0.0910
31 O 0.9017 0.1353 0.6365
32 O 0.9963 0.9009 0.2395

Main lines, in order of rising 2θ (2θ = 10–80°):
2theta, d/Å, Rel. int.
12.04, 7.350, 54
17.14, 5.172, 18
17.78, 4.990, 43
19.80, 4.484, 85
27.58, 3.234, 48
27.69, 3.222, 100
28.59, 3.122, 31
31.40, 2.849, 22
31.56, 2.834, 29
32.59, 2.747, 63
35.93, 2.500, 59
44.02, 2.057, 25

2.
For La2PrNdTm4, a GGA-PBE-relaxed structure gives the calculated X-ray diffraction stick pattern in this record (CuKα).
Kinematic intensities with the Lorentz-polarization factor, no thermal factor.

Structural model:
a b c (Å): 9.5560 9.5560 9.5560
angles (deg): 138.23 102.76 91.91
Atoms (fractional coordinates):
1 La 0.0000 0.0000 0.0000
2 La 0.5000 0.0000 0.0000
3 La 0.5000 0.0000 0.5000
4 La 0.5000 0.5000 0.5000
5 Pr 0.0000 0.0000 0.5000
6 Pr 0.0000 0.5000 0.0000
7 Nd 0.0000 0.5000 0.5000
8 Nd 0.5000 0.5000 0.0000
9 Tm 0.2502 0.2501 0.0002
10 Tm 0.2501 0.7499 0.5002
11 Tm 0.2510 0.2523 0.5013
12 Tm 0.2510 0.7497 0.9987
13 Tm 0.7490 0.2503 0.0013
14 Tm 0.7490 0.7477 0.4987
15 Tm 0.7499 0.2501 0.4998
16 Tm 0.7498 0.7499 0.9998

Main lines, in order of rising 2θ (2θ = 10–80°):
2theta, d/Å, Rel. int.
26.84, 3.322, 68
29.96, 2.982, 51
30.21, 2.958, 100
40.66, 2.219, 45
40.85, 2.209, 89
53.35, 1.717, 20
60.71, 1.525, 28
61.14, 1.516, 14
62.83, 1.479, 13
64.19, 1.451, 12
64.33, 1.448, 23
69.58, 1.351, 18

3.
For CaNi2H, a GGA-PBE-relaxed structure gives the calculated X-ray diffraction stick pattern in this record (CuKα).
Kinematic intensities with the Lorentz-polarization factor, no thermal factor.

Structural model:
a b c (Å): 5.2868 5.2868 5.2868
angles (deg): 60.00 60.00 60.00
Atoms (fractional coordinates):
1 Ca 0.1250 0.1250 0.1250
2 Ca 0.8750 0.8750 0.8750
3 Ni 0.0000 0.5000 0.5000
4 Ni 0.5000 0.0000 0.5000
5 Ni 0.5000 0.5000 0.0000
6 Ni 0.5000 0.5000 0.5000
7 H 0.3750 0.3750 0.3750
8 H 0.6250 0.6250 0.6250

Main lines, in order of rising 2θ (2θ = 10–80°):
2theta, d/Å, Rel. int.
20.58, 4.317, 28
33.91, 2.643, 17
39.99, 2.254, 100
41.85, 2.158, 56
48.72, 1.869, 12
53.42, 1.715, 6
60.68, 1.526, 5
64.79, 1.439, 29
71.36, 1.322, 27
75.18, 1.264, 4

4.
For Li10Cu4S9, a GGA-PBE-relaxed structure gives the calculated X-ray diffraction stick pattern in this record (CuKα).
Kinematic intensities with the Lorentz-polarization factor, no thermal factor.

Structural model:
a b c (Å): 11.6118 11.6118 5.6517
angles (deg): 90.00 90.00 90.00
Atoms (fractional coordinates):
1 Li 0.0654 0.1001 0.0359
2 Li 0.0654 0.3999 0.0359
3 Li 0.1001 0.0654 0.5359
4 Li 0.1001 0.4346 0.5359
5 Li 0.2500 0.2500 0.0766
6 Li 0.2500 0.2500 0.5766
7 Li 0.3999 0.0654 0.5359
8 Li 0.3999 0.4346 0.5359
9 Li 0.4346 0.1001 0.0359
10 Li 0.4346 0.3999 0.0359
11 Li 0.5654 0.6001 0.9641
12 Li 0.5654 0.8999 0.9641
13 Li 0.6001 0.5654 0.4641
14 Li 0.6001 0.9346 0.4641
15 Li 0.7500 0.7500 0.4234
16 Li 0.7500 0.7500 0.9234
17 Li 0.8999 0.5654 0.4641
18 Li 0.8999 0.9346 0.4641
19 Li 0.9346 0.6001 0.9641
20 Li 0.9346 0.8999 0.9641
21 Cu 0.0958 0.7500 0.4944
22 Cu 0.2500 0.5958 0.0056
23 Cu 0.2500 0.9042 0.0056
24 Cu 0.4042 0.7500 0.4944
25 Cu 0.5958 0.2500 0.5056
26 Cu 0.7500 0.0958 0.9944
27 Cu 0.7500 0.4042 0.9944
28 Cu 0.9042 0.2500 0.5056
29 S 0.0835 0.2500 0.3248
30 S 0.0899 0.5899 0.2500
31 S 0.0899 0.9101 0.2500
32 S 0.2500 0.0835 0.8248
33 S 0.2500 0.4165 0.8248
34 S 0.2500 0.7500 0.7500
35 S 0.4101 0.5899 0.2500
36 S 0.4101 0.9101 0.2500
37 S 0.4165 0.2500 0.3248
38 S 0.5835 0.7500 0.6752
39 S 0.5899 0.0899 0.7500
40 S 0.5899 0.4101 0.7500
41 S 0.7500 0.2500 0.2500
42 S 0.7500 0.5835 0.1752
43 S 0.7500 0.9165 0.1752
44 S 0.9101 0.0899 0.7500
45 S 0.9101 0.4101 0.7500
46 S 0.9165 0.7500 0.6752

Main lines, in order of rising 2θ (2θ = 10–80°):
2theta, d/Å, Rel. int.
10.78, 8.211, 89
15.26, 5.806, 17
21.95, 4.050, 100
27.94, 3.193, 89
29.00, 3.079, 56
34.74, 2.582, 53
46.17, 1.966, 75
46.95, 1.935, 42
54.76, 1.676, 28
55.52, 1.655, 20
59.71, 1.549, 18
68.57, 1.368, 19

5.
For Ca11Tl9Cd4, a GGA-PBE-relaxed structure gives the calculated X-ray diffraction stick pattern in this record (CuKα).
Kinematic intensities with the Lorentz-polarization factor, no thermal factor.

Structural model:
a b c (Å): 13.8658 13.8658 3.9268
angles (deg): 90.00 90.00 111.65
Atoms (fractional coordinates):
1 Ca 0.0000 0.0000 0.0000
2 Ca 0.0700 0.4117 0.0000
3 Ca 0.1686 0.8314 0.0000
4 Ca 0.2536 0.2536 0.0000
5 Ca 0.3493 0.6507 0.0000
6 Ca 0.4117 0.0700 0.0000
7 Ca 0.5883 0.9300 0.0000
8 Ca 0.6507 0.3493 0.0000
9 Ca 0.7464 0.7464 0.0000
10 Ca 0.8314 0.1686 0.0000
11 Ca 0.9300 0.5883 0.0000
12 Tl 0.0435 0.2070 0.5000
13 Tl 0.1433 0.6258 0.5000
14 Tl 0.2070 0.0435 0.5000
15 Tl 0.3742 0.8567 0.5000
16 Tl 0.5000 0.5000 0.5000
17 Tl 0.6258 0.1433 0.5000
18 Tl 0.7930 0.9565 0.5000
19 Tl 0.8567 0.3742 0.5000
20 Tl 0.9565 0.7930 0.5000
21 Cd 0.2653 0.4466 0.5000
22 Cd 0.4466 0.2653 0.5000
23 Cd 0.5534 0.7347 0.5000
24 Cd 0.7347 0.5534 0.5000

Main lines, in order of rising 2θ (2θ = 10–80°):
2theta, d/Å, Rel. int.
22.64, 3.927, 60
22.84, 3.894, 32
23.26, 3.824, 32
32.38, 2.765, 80
32.69, 2.740, 77
32.82, 2.728, 100
40.25, 2.241, 50
46.24, 1.963, 21
52.42, 1.745, 18
57.86, 1.594, 39
58.14, 1.587, 30
58.70, 1.573, 25

6.
For AlCrNi6, a GGA-PBE-relaxed structure gives the calculated X-ray diffraction stick pattern in this record (CuKα).
Kinematic intensities with the Lorentz-polarization factor, no thermal factor.

Structural model:
a b c (Å): 6.1492 6.1492 10.0421
angles (deg): 90.00 90.00 109.47
Atoms (fractional coordinates):
1 Al 0.0000 0.0000 0.2496
2 Al 0.0000 0.0000 0.7504
3 Al 0.2503 0.7497 0.0000
4 Al 0.7497 0.2503 0.0000
5 Cr 0.2503 0.7497 0.5000
6 Cr 0.5000 0.5000 0.2487
7 Cr 0.5000 0.5000 0.7513
8 Cr 0.7497 0.2503 0.5000
9 Ni 0.0000 0.0000 0.0000
10 Ni 0.0000 0.0000 0.5000
11 Ni 0.1262 0.3773 0.3759
12 Ni 0.1262 0.3773 0.6241
13 Ni 0.1281 0.3763 0.1262
14 Ni 0.1281 0.3763 0.8738
15 Ni 0.2519 0.7481 0.2534
16 Ni 0.2519 0.7481 0.7466
17 Ni 0.3763 0.1281 0.1262
18 Ni 0.3763 0.1281 0.8738
19 Ni 0.3773 0.1262 0.3759
20 Ni 0.3773 0.1262 0.6241
21 Ni 0.5000 0.5000 0.0000
22 Ni 0.5000 0.5000 0.5000
23 Ni 0.6227 0.8738 0.3759
24 Ni 0.6227 0.8738 0.6241
25 Ni 0.6237 0.8719 0.1262
26 Ni 0.6237 0.8719 0.8738
27 Ni 0.7481 0.2519 0.2534
28 Ni 0.7481 0.2519 0.7466
29 Ni 0.8719 0.6237 0.1262
30 Ni 0.8719 0.6237 0.8738
31 Ni 0.8738 0.6227 0.3759
32 Ni 0.8738 0.6227 0.6241

Main lines, in order of rising 2θ (2θ = 10–80°):
2theta, d/Å, Rel. int.
15.28, 5.797, 1
19.77, 4.491, 1
23.44, 3.795, 1
25.08, 3.550, 4
35.77, 2.510, 3
44.18, 2.050, 100
51.48, 1.775, 46
58.10, 1.588, 1
64.27, 1.449, 1
75.78, 1.255, 27

What did the third record say?
For CaNi2H, a GGA-PBE-relaxed structure gives the calculated X-ray diffraction stick pattern in this record (CuKα).
Kinematic intensities with the Lorentz-polarization factor, no thermal factor.

Structural model:
a b c (Å): 5.2868 5.2868 5.2868
angles (deg): 60.00 60.00 60.00
Atoms (fractional coordinates):
1 Ca 0.1250 0.1250 0.1250
2 Ca 0.8750 0.8750 0.8750
3 Ni 0.0000 0.5000 0.5000
4 Ni 0.5000 0.0000 0.5000
5 Ni 0.5000 0.5000 0.0000
6 Ni 0.5000 0.5000 0.5000
7 H 0.3750 0.3750 0.3750
8 H 0.6250 0.6250 0.6250

Main lines, in order of rising 2θ (2θ = 10–80°):
2theta, d/Å, Rel. int.
20.58, 4.317, 28
33.91, 2.643, 17
39.99, 2.254, 100
41.85, 2.158, 56
48.72, 1.869, 12
53.42, 1.715, 6
60.68, 1.526, 5
64.79, 1.439, 29
71.36, 1.322, 27
75.18, 1.264, 4